(1)
This entry pairs a crystal structure of Y3Mg3CuPt2 with its theoretical X-ray powder pattern. Radiation: Cu Ka. Structure: DFT lattice parameters and positions (GGA-PBE).

Structure:
a b c (Å): 7.4682 7.4682 3.9944
angles (deg): 90.00 90.00 120.00
Space group P-62m (No. 189)
Inequivalent atoms, fractional coordinates:
Y 0.0000 0.5846 0.0000 [3 per cell]
Mg 0.0000 0.2455 0.5000 [3 per cell]
Cu 0.0000 0.0000 0.0000 [1 per cell]
Pt 0.3333 0.6667 0.5000 [2 per cell]

Top 10 peaks for 2θ from 10° to 90°, low angle first:
| 2θ (°) | I_rel | index |
| --- | --- | --- |
| 13.69 | 48 | 1 0 0 |
| 23.83 | 60 | 1 1 0 |
| 26.22 | 23 | 1 0 1 |
| 32.83 | 100 | 1 1 1 |
| 35.72 | 82 | 2 0 1 |
| 36.77 | 22 | 2 1 0 |
| 41.90 | 39 | 3 0 0 |
| 43.40 | 31 | 2 1 1 |
| 45.41 | 21 | 0 0 2 |
| 63.50 | 23 | 3 0 2 |

(2)
This entry pairs a crystal structure of MgCu2SiSe2S2 with its theoretical X-ray powder pattern. Radiation: Cu Ka. Structure: DFT lattice parameters and positions (GGA-PBE).

Structure:
a b c (Å): 11.9128 5.5577 5.5774
angles (deg): 90.00 116.89 90.00
Space group C2 (No. 5)
Inequivalent atoms, fractional coordinates:
Mg 0.0000 0.0000 0.0000 [2 per cell]
Cu 0.2499 0.4846 0.2757 [4 per cell]
Si 0.0000 0.4687 0.5000 [2 per cell]
Se 0.1297 0.7068 0.8582 [4 per cell]
S 0.1246 0.2528 0.3997 [4 per cell]

Top 10 peaks for 2θ from 10° to 90°, low angle first:
| 2θ (°) | I_rel | index |
| --- | --- | --- |
| 16.69 | 15 | 2 0 0 |
| 18.05 | 19 | 2 0 -1 |
| 28.04 | 88 | 1 1 1 |
| 28.39 | 100 | 3 1 -1 |
| 46.12 | 42 | 2 2 -2 |
| 46.81 | 21 | 2 0 2 |
| 47.34 | 41 | 4 2 0 |
| 47.71 | 19 | 6 0 -2 |
| 54.92 | 16 | 1 3 1 |
| 55.15 | 19 | 5 1 -3 |